# 1
# SrMgP2O7
Calculated X-ray powder pattern, Cu Ka. Input: a cell relaxed with GGA-PBE.
Peak positions follow from Bragg's law for the DFT cell and can differ from measured ones.

Cell and atoms:
```
SrMgP2O7
1.0
5.3731 0.0000 0.0000
0.0000 8.3907 0.0000
-5.2033 0.0000 12.9384
Sr Mg P O
4 4 8 28
direct
0.0097 0.1643 0.2221
0.0097 0.3357 0.7221
0.9903 0.6643 0.2779
0.9903 0.8357 0.7779
0.2852 0.6505 0.6073
0.2852 0.8495 0.1073
0.7148 0.1505 0.8927
0.7148 0.3495 0.3927
0.3326 0.2016 0.0210
0.3326 0.2984 0.5210
0.4242 0.0345 0.6698
0.4242 0.4655 0.1698
0.5758 0.5345 0.8302
0.5758 0.9655 0.3302
0.6674 0.7016 0.4790
0.6674 0.7984 0.9790
0.1060 0.1953 0.9142
0.1060 0.3047 0.4142
0.2067 0.0612 0.7141
0.2067 0.4388 0.2141
0.2695 0.0956 0.0995
0.2695 0.4044 0.5995
0.3105 0.6154 0.7623
0.3105 0.8846 0.2623
0.3242 0.1143 0.5563
0.3242 0.3857 0.0563
0.3845 0.6701 0.4774
0.3845 0.8299 0.9774
0.4756 0.6405 0.1547
0.4756 0.8595 0.6547
0.5244 0.1405 0.3453
0.5244 0.3595 0.8453
0.6155 0.1701 0.0226
0.6155 0.3299 0.5226
0.6758 0.6143 0.9437
0.6758 0.8857 0.4437
0.6895 0.1154 0.7377
0.6895 0.3846 0.2377
0.7305 0.5956 0.4005
0.7305 0.9044 0.9005
0.7933 0.5612 0.7859
0.7933 0.9388 0.2859
0.8940 0.6953 0.5858
0.8940 0.8047 0.0858
```

Peak list (8 most intense, 2θ = 15–90°, in order of rising 2θ)
- 2θ 26.33, intensity 100
- 2θ 26.96, intensity 54
- 2θ 27.90, intensity 46
- 2θ 28.75, intensity 64
- 2θ 30.46, intensity 46
- 2θ 32.76, intensity 35
- 2θ 33.35, intensity 56
- 2θ 43.32, intensity 38

# 2
# Rb2BaBr4
Calculated X-ray powder pattern, Cu Ka. Input: a cell relaxed with GGA-PBE.
Peak positions follow from Bragg's law for the DFT cell and can differ from measured ones.

Cell and atoms:
```
Rb2BaBr4
1.0
-5.0608 5.0608 5.1643
5.0608 -5.0608 5.1643
5.0608 5.0608 -5.1643
Rb Ba Br
4 2 8
direct
0.3750 0.2439 0.3689
0.7561 0.1250 0.1311
0.8750 0.0061 0.6311
0.9939 0.6250 0.8689
0.2500 0.7500 0.5000
0.5000 0.5000 0.0000
0.1407 0.3912 0.1149
0.1412 0.3907 0.6149
0.2762 0.0257 0.8851
0.4738 0.8588 0.2495
0.6093 0.2243 0.7505
0.6088 0.7238 0.7495
0.7757 0.5262 0.3851
0.9743 0.8593 0.2505
```

Peak list (8 most intense, 2θ = 15–90°, in order of rising 2θ)
- 2θ 27.36, intensity 55
- 2θ 27.84, intensity 100
- 2θ 32.68, intensity 33
- 2θ 32.92, intensity 43
- 2θ 33.07, intensity 29
- 2θ 43.67, intensity 16
- 2θ 55.95, intensity 20
- 2θ 67.99, intensity 16

# 3
# Cs2KCeCl6
Calculated X-ray powder pattern, Cu Ka. Input: a cell relaxed with GGA-PBE.
Peak positions follow from Bragg's law for the DFT cell and can differ from measured ones.

Cell and atoms:
```
Cs2KCeCl6
1.0
0.0000 5.7822 5.7822
5.7822 0.0000 5.7822
5.7822 5.7822 0.0000
Cs K Ce Cl
2 1 1 6
direct
0.2500 0.2500 0.2500
0.7500 0.7500 0.7500
0.0000 0.0000 0.0000
0.5000 0.5000 0.5000
0.2622 0.2622 0.7378
0.2622 0.7378 0.2622
0.2622 0.7378 0.7378
0.7378 0.2622 0.2622
0.7378 0.2622 0.7378
0.7378 0.7378 0.2622
```

Peak list (8 most intense, 2θ = 15–90°, in order of rising 2θ)
- 2θ 21.74, intensity 100
- 2θ 26.70, intensity 27
- 2θ 30.93, intensity 66
- 2θ 38.12, intensity 46
- 2θ 44.31, intensity 45
- 2θ 49.87, intensity 23
- 2θ 59.85, intensity 26
- 2θ 73.20, intensity 19

# 4
# Be3N2
Calculated X-ray powder pattern, Cu Ka. Input: a cell relaxed with GGA-PBE.
Peak positions follow from Bragg's law for the DFT cell and can differ from measured ones.

Cell and atoms:
```
Be3N2
1.0
2.8484 0.0000 0.0000
-1.4242 2.4668 0.0000
0.0000 0.0000 9.7650
Be N
6 4
direct
0.0000 0.0000 0.2500
0.0000 0.0000 0.7500
0.3333 0.6667 0.0783
0.3333 0.6667 0.4217
0.6667 0.3333 0.5783
0.6667 0.3333 0.9217
0.0000 0.0000 0.0000
0.0000 0.0000 0.5000
0.3333 0.6667 0.2500
0.6667 0.3333 0.7500
```

Peak list (8 most intense, 2θ = 15–90°, in order of rising 2θ)
- 2θ 36.82, intensity 52
- 2θ 37.61, intensity 100
- 2θ 40.99, intensity 29
- 2θ 52.76, intensity 25
- 2θ 60.46, intensity 22
- 2θ 65.54, intensity 51
- 2θ 69.15, intensity 13
- 2θ 77.61, intensity 17

# 5
# Zn4SO14
Calculated X-ray powder pattern, Cu Ka. Input: a cell relaxed with GGA-PBE.
Peak positions follow from Bragg's law for the DFT cell and can differ from measured ones.

Cell and atoms:
```
Zn4SO14
1.0
8.2612 0.0000 0.0000
-4.1306 7.1544 0.0000
0.0000 0.0000 10.3036
Zn S O
8 2 28
direct
0.0000 0.0000 0.1840
0.0000 0.0000 0.8160
0.1283 0.4183 0.9935
0.2900 0.8717 0.9935
0.4183 0.2900 0.0065
0.5817 0.7100 0.9935
0.7100 0.1283 0.0065
0.8717 0.5817 0.0065
0.3333 0.6667 0.3077
0.6667 0.3333 0.6923
0.0000 0.0000 0.4417
0.0000 0.0000 0.5583
0.0053 0.7826 0.7249
0.0672 0.8254 0.1010
0.1085 0.6296 0.9193
0.1746 0.2418 0.1010
0.2026 0.7266 0.3598
0.2174 0.2227 0.7249
0.2227 0.0053 0.2751
0.2418 0.0672 0.8990
0.2734 0.4760 0.3598
0.3333 0.6667 0.1630
0.3704 0.4789 0.9193
0.4760 0.2026 0.6402
0.4789 0.1085 0.0807
0.5211 0.8915 0.9193
0.5240 0.7974 0.3598
0.6296 0.5211 0.0807
0.6667 0.3333 0.8370
0.7266 0.5240 0.6402
0.7582 0.9328 0.1010
0.7773 0.9947 0.7249
0.7826 0.7773 0.2751
0.7974 0.2734 0.6402
0.8254 0.7582 0.8990
0.8915 0.3704 0.0807
0.9328 0.1746 0.8990
0.9947 0.2174 0.2751
```

Peak list (8 most intense, 2θ = 15–90°, in order of rising 2θ)
- 2θ 15.08, intensity 58
- 2θ 21.25, intensity 66
- 2θ 27.68, intensity 55
- 2θ 28.84, intensity 58
- 2θ 33.13, intensity 58
- 2θ 34.28, intensity 100
- 2θ 37.57, intensity 86
- 2θ 56.11, intensity 65

Q: Number 2 is which compound?
A: Rb2BaBr4

Repeat the first record exactly.
# SrMgP2O7
Calculated X-ray powder pattern, Cu Ka. Input: a cell relaxed with GGA-PBE.
Peak positions follow from Bragg's law for the DFT cell and can differ from measured ones.

Cell and atoms:
```
SrMgP2O7
1.0
5.3731 0.0000 0.0000
0.0000 8.3907 0.0000
-5.2033 0.0000 12.9384
Sr Mg P O
4 4 8 28
direct
0.0097 0.1643 0.2221
0.0097 0.3357 0.7221
0.9903 0.6643 0.2779
0.9903 0.8357 0.7779
0.2852 0.6505 0.6073
0.2852 0.8495 0.1073
0.7148 0.1505 0.8927
0.7148 0.3495 0.3927
0.3326 0.2016 0.0210
0.3326 0.2984 0.5210
0.4242 0.0345 0.6698
0.4242 0.4655 0.1698
0.5758 0.5345 0.8302
0.5758 0.9655 0.3302
0.6674 0.7016 0.4790
0.6674 0.7984 0.9790
0.1060 0.1953 0.9142
0.1060 0.3047 0.4142
0.2067 0.0612 0.7141
0.2067 0.4388 0.2141
0.2695 0.0956 0.0995
0.2695 0.4044 0.5995
0.3105 0.6154 0.7623
0.3105 0.8846 0.2623
0.3242 0.1143 0.5563
0.3242 0.3857 0.0563
0.3845 0.6701 0.4774
0.3845 0.8299 0.9774
0.4756 0.6405 0.1547
0.4756 0.8595 0.6547
0.5244 0.1405 0.3453
0.5244 0.3595 0.8453
0.6155 0.1701 0.0226
0.6155 0.3299 0.5226
0.6758 0.6143 0.9437
0.6758 0.8857 0.4437
0.6895 0.1154 0.7377
0.6895 0.3846 0.2377
0.7305 0.5956 0.4005
0.7305 0.9044 0.9005
0.7933 0.5612 0.7859
0.7933 0.9388 0.2859
0.8940 0.6953 0.5858
0.8940 0.8047 0.0858
```

Peak list (8 most intense, 2θ = 15–90°, in order of rising 2θ)
- 2θ 26.33, intensity 100
- 2θ 26.96, intensity 54
- 2θ 27.90, intensity 46
- 2θ 28.75, intensity 64
- 2θ 30.46, intensity 46
- 2θ 32.76, intensity 35
- 2θ 33.35, intensity 56
- 2θ 43.32, intensity 38